1.
Diffraction record for LiHfGaPd. The PXRD pattern is calculated, not measured: it uses DFT lattice parameters and positions (PBE) and Cu Kα (weighted mean of Kα1 and Kα2).
Intensities are scaled so that the largest is 1000.

Top 8 peaks for 2θ = 5–70°, by angle:
3.634 Å, 2θ 24.5, I = 402
3.147 Å, 2θ 28.4, I = 180
2.225 Å, 2θ 40.5, I = 1000
1.898 Å, 2θ 47.9, I = 200
1.817 Å, 2θ 50.2, I = 51
1.574 Å, 2θ 58.7, I = 168
1.444 Å, 2θ 64.5, I = 83
1.407 Å, 2θ 66.4, I = 67

Crystal structure
```
data_LiHfGaPd
_chemical_formula_sum 'Li2 Hf2 Ga2 Pd2'
_cell_length_a 4.451
_cell_length_b 4.451
_cell_length_c 6.295
_cell_angle_alpha 90.00
_cell_angle_beta 90.00
_cell_angle_gamma 90.00
_space_group_name_H-M_alt 'P 1'
_space_group_IT_number 1
loop_
_space_group_symop_operation_xyz
'x,y,z'
loop_
_atom_site_label
_atom_site_type_symbol
_atom_site_fract_x
_atom_site_fract_y
_atom_site_fract_z
Li1 Li 0.000 0.500 0.250
Li2 Li 0.500 0.000 0.750
Hf1 Hf 0.000 0.000 0.500
Hf2 Hf 0.500 0.500 0.000
Ga1 Ga 0.000 0.000 0.000
Ga2 Ga 0.500 0.500 0.500
Pd1 Pd 0.000 0.500 0.749
Pd2 Pd 0.500 0.000 0.251
```

2.
Diffraction record for Hf4GaSnN2. The PXRD pattern is calculated, not measured: it uses DFT lattice parameters and positions (PBE) and Cu Kα (weighted mean of Kα1 and Kα2).
Intensities are scaled so that the largest is 1000.

Top 12 peaks for 2θ = 5–70°, by angle:
7.132 Å, 2θ 12.4, I = 85
3.566 Å, 2θ 25.0, I = 30
2.795 Å, 2θ 32.0, I = 227
2.742 Å, 2θ 32.7, I = 56
2.409 Å, 2θ 37.3, I = 1000
2.377 Å, 2θ 37.8, I = 190
2.200 Å, 2θ 41.0, I = 26
1.811 Å, 2θ 50.4, I = 148
1.646 Å, 2θ 55.8, I = 29
1.613 Å, 2θ 57.1, I = 210
1.397 Å, 2θ 67.0, I = 29
1.379 Å, 2θ 68.0, I = 149

Crystal structure
```
data_Hf4GaSnN2
_chemical_formula_sum 'Hf4 Ga1 Sn1 N2'
_cell_length_a 3.227
_cell_length_b 3.227
_cell_length_c 14.264
_cell_angle_alpha 90.00
_cell_angle_beta 90.00
_cell_angle_gamma 120.00
_space_group_name_H-M_alt 'P 1'
_space_group_IT_number 1
loop_
_space_group_symop_operation_xyz
'x,y,z'
loop_
_atom_site_label
_atom_site_type_symbol
_atom_site_fract_x
_atom_site_fract_y
_atom_site_fract_z
Hf1 Hf 0.000 0.000 0.155
Hf2 Hf 0.000 0.000 0.845
Hf3 Hf 0.667 0.333 0.332
Hf4 Hf 0.667 0.333 0.668
Ga1 Ga 0.667 0.333 0.000
Sn1 Sn 0.000 0.000 0.500
N1 N 0.333 0.667 0.242
N2 N 0.333 0.667 0.758
```

3.
Diffraction record for Hf2Zr4Ga3N3. The PXRD pattern is calculated, not measured: it uses DFT lattice parameters and positions (PBE) and Cu Kα (weighted mean of Kα1 and Kα2).
Intensities are scaled so that the largest is 1000.

Top 12 peaks for 2θ = 5–70°, by angle:
6.982 Å, 2θ 12.7, I = 64
4.847 Å, 2θ 18.3, I = 57
4.752 Å, 2θ 18.7, I = 39
2.817 Å, 2θ 31.8, I = 217
2.761 Å, 2θ 32.4, I = 48
2.410 Å, 2θ 37.3, I = 1000
2.327 Å, 2θ 38.7, I = 177
2.192 Å, 2θ 41.2, I = 29
1.794 Å, 2θ 50.9, I = 150
1.627 Å, 2θ 56.6, I = 243
1.359 Å, 2θ 69.1, I = 142
1.348 Å, 2θ 69.8, I = 153

Crystal structure
```
data_Hf2Zr4Ga3N3
_chemical_formula_sum 'Hf4 Zr8 Ga6 N6'
_cell_length_a 5.633
_cell_length_b 5.633
_cell_length_c 14.337
_cell_angle_alpha 101.32
_cell_angle_beta 101.32
_cell_angle_gamma 60.03
_space_group_name_H-M_alt 'P 1'
_space_group_IT_number 1
loop_
_space_group_symop_operation_xyz
'x,y,z'
loop_
_atom_site_label
_atom_site_type_symbol
_atom_site_fract_x
_atom_site_fract_y
_atom_site_fract_z
Hf1 Hf 0.029 0.860 0.588
Hf2 Hf 0.140 0.971 0.912
Hf3 Hf 0.860 0.029 0.088
Hf4 Hf 0.971 0.140 0.412
Zr1 Zr 0.197 0.366 0.092
Zr2 Zr 0.305 0.467 0.408
Zr3 Zr 0.366 0.197 0.592
Zr4 Zr 0.467 0.305 0.908
Zr5 Zr 0.533 0.695 0.092
Zr6 Zr 0.634 0.803 0.408
Zr7 Zr 0.695 0.533 0.592
Zr8 Zr 0.803 0.634 0.908
Ga1 Ga 0.080 0.236 0.749
Ga2 Ga 0.236 0.080 0.249
Ga3 Ga 0.402 0.598 0.750
Ga4 Ga 0.598 0.402 0.250
Ga5 Ga 0.764 0.920 0.751
Ga6 Ga 0.920 0.764 0.251
N1 N 0.000 0.500 0.500
N2 N 0.163 0.675 0.000
N3 N 0.325 0.837 0.500
N4 N 0.500 0.000 0.000
N5 N 0.675 0.163 0.500
N6 N 0.837 0.325 0.000
```

4.
Diffraction record for Na2HfScGa2Pd2. The PXRD pattern is calculated, not measured: it uses DFT lattice parameters and positions (PBE) and Cu Kα (weighted mean of Kα1 and Kα2).
Intensities are scaled so that the largest is 1000.

Top 12 peaks for 2θ = 5–70°, by angle:
6.535 Å, 2θ 13.5, I = 102
4.623 Å, 2θ 19.2, I = 82
3.774 Å, 2θ 23.6, I = 211
3.269 Å, 2θ 27.3, I = 33
2.924 Å, 2θ 30.6, I = 47
2.668 Å, 2θ 33.6, I = 45
2.311 Å, 2θ 39.0, I = 1000
2.179 Å, 2θ 41.4, I = 32
1.971 Å, 2θ 46.0, I = 103
1.747 Å, 2θ 52.4, I = 27
1.634 Å, 2θ 56.3, I = 166
1.500 Å, 2θ 61.9, I = 43

Crystal structure
```
data_Na2HfScGa2Pd2
_chemical_formula_sum 'Na2 Hf1 Sc1 Ga2 Pd2'
_cell_length_a 4.623
_cell_length_b 4.623
_cell_length_c 6.535
_cell_angle_alpha 90.00
_cell_angle_beta 90.00
_cell_angle_gamma 90.00
_space_group_name_H-M_alt 'P 1'
_space_group_IT_number 1
loop_
_space_group_symop_operation_xyz
'x,y,z'
loop_
_atom_site_label
_atom_site_type_symbol
_atom_site_fract_x
_atom_site_fract_y
_atom_site_fract_z
Na1 Na 0.000 0.500 0.241
Na2 Na 0.500 0.000 0.759
Hf1 Hf 0.000 0.000 0.500
Sc1 Sc 0.500 0.500 0.000
Ga1 Ga 0.000 0.000 0.000
Ga2 Ga 0.500 0.500 0.500
Pd1 Pd 0.000 0.500 0.741
Pd2 Pd 0.500 0.000 0.259
```

5.
Diffraction record for HfGa2Ni. The PXRD pattern is calculated, not measured: it uses DFT lattice parameters and positions (PBE) and Cu Kα (weighted mean of Kα1 and Kα2).
Intensities are scaled so that the largest is 1000.

Top 12 peaks for 2θ = 5–70°, by angle:
3.655 Å, 2θ 24.4, I = 167
2.448 Å, 2θ 36.7, I = 376
2.354 Å, 2θ 38.2, I = 1000
2.274 Å, 2θ 39.6, I = 140
2.254 Å, 2θ 40.0, I = 312
2.172 Å, 2θ 41.6, I = 126
2.116 Å, 2θ 42.7, I = 204
2.048 Å, 2θ 44.2, I = 206
2.001 Å, 2θ 45.3, I = 116
1.972 Å, 2θ 46.0, I = 116
1.716 Å, 2θ 53.4, I = 101
1.499 Å, 2θ 61.9, I = 125

Crystal structure
```
data_HfGa2Ni
_chemical_formula_sum 'Hf10 Ga20 Ni10'
_cell_length_a 9.587
_cell_length_b 9.587
_cell_length_c 9.587
_cell_angle_alpha 100.28
_cell_angle_beta 100.28
_cell_angle_gamma 130.03
_space_group_name_H-M_alt 'P 1'
_space_group_IT_number 1
loop_
_space_group_symop_operation_xyz
'x,y,z'
loop_
_atom_site_label
_atom_site_type_symbol
_atom_site_fract_x
_atom_site_fract_y
_atom_site_fract_z
Hf1 Hf 0.000 0.000 0.000
Hf2 Hf 0.077 0.077 0.406
Hf3 Hf 0.077 0.671 0.000
Hf4 Hf 0.095 0.382 0.714
Hf5 Hf 0.382 0.095 0.714
Hf6 Hf 0.382 0.668 0.286
Hf7 Hf 0.444 0.444 0.000
Hf8 Hf 0.668 0.382 0.286
Hf9 Hf 0.671 0.077 0.000
Hf10 Hf 0.671 0.671 0.594
Ga1 Ga 0.090 0.090 0.736
Ga2 Ga 0.090 0.355 0.000
Ga3 Ga 0.244 0.862 0.383
Ga4 Ga 0.268 0.477 0.494
Ga5 Ga 0.268 0.774 0.791
Ga6 Ga 0.355 0.090 0.000
Ga7 Ga 0.355 0.355 0.264
Ga8 Ga 0.477 0.268 0.494
Ga9 Ga 0.477 0.984 0.209
Ga10 Ga 0.479 0.862 0.617
Ga11 Ga 0.555 0.714 0.841
Ga12 Ga 0.714 0.555 0.841
Ga13 Ga 0.714 0.874 0.159
Ga14 Ga 0.774 0.268 0.791
Ga15 Ga 0.774 0.984 0.506
Ga16 Ga 0.862 0.244 0.383
Ga17 Ga 0.862 0.479 0.617
Ga18 Ga 0.874 0.714 0.159
Ga19 Ga 0.984 0.477 0.209
Ga20 Ga 0.984 0.774 0.506
Ni1 Ni 0.025 0.241 0.216
Ni2 Ni 0.025 0.809 0.784
Ni3 Ni 0.109 0.609 0.500
Ni4 Ni 0.241 0.025 0.216
Ni5 Ni 0.374 0.374 0.675
Ni6 Ni 0.374 0.698 0.000
Ni7 Ni 0.609 0.109 0.500
Ni8 Ni 0.698 0.374 0.000
Ni9 Ni 0.698 0.698 0.325
Ni10 Ni 0.809 0.025 0.784
```

6.
Diffraction record for HfScGa2Ni4. The PXRD pattern is calculated, not measured: it uses DFT lattice parameters and positions (PBE) and Cu Kα (weighted mean of Kα1 and Kα2).
Intensities are scaled so that the largest is 1000.

Top 12 peaks for 2θ = 5–70°, by angle:
8.035 Å, 2θ 11.0, I = 406
3.538 Å, 2θ 25.2, I = 245
3.238 Å, 2θ 27.6, I = 193
2.655 Å, 2θ 33.8, I = 517
2.135 Å, 2θ 42.3, I = 1000
2.042 Å, 2θ 44.4, I = 974
1.979 Å, 2θ 45.8, I = 84
1.747 Å, 2θ 52.4, I = 87
1.624 Å, 2θ 56.7, I = 50
1.619 Å, 2θ 56.9, I = 117
1.476 Å, 2θ 63.0, I = 292
1.432 Å, 2θ 65.1, I = 85

Crystal structure
```
data_HfScGa2Ni4
_chemical_formula_sum 'Hf1 Sc1 Ga2 Ni4'
_cell_length_a 4.085
_cell_length_b 4.085
_cell_length_c 8.035
_cell_angle_alpha 90.00
_cell_angle_beta 90.00
_cell_angle_gamma 120.00
_space_group_name_H-M_alt 'P 1'
_space_group_IT_number 1
loop_
_space_group_symop_operation_xyz
'x,y,z'
loop_
_atom_site_label
_atom_site_type_symbol
_atom_site_fract_x
_atom_site_fract_y
_atom_site_fract_z
Hf1 Hf 0.000 0.000 0.000
Sc1 Sc 0.667 0.333 0.500
Ga1 Ga 0.333 0.667 0.253
Ga2 Ga 0.333 0.667 0.747
Ni1 Ni 0.000 0.000 0.331
Ni2 Ni 0.000 0.000 0.669
Ni3 Ni 0.667 0.333 0.162
Ni4 Ni 0.667 0.333 0.838
```